# KMnV2Cl8
Computed powder diffractogram, Cu Ka. Input: a PBE-relaxed structure.
Neutral-atom scattering factors, no anomalous dispersion.

The 6 most intense peaks (2θ = 10–90°), in order of rising 2θ:
| Position (°2θ) | d/Å | I (rel.) |
| --- | --- | --- |
| 19.6 | 4.523 | 100 |
| 21.2 | 4.196 | 53 |
| 30.6 | 2.924 | 43 |
| 31.6 | 2.830 | 59 |
| 39.9 | 2.260 | 89 |
| 49.5 | 1.841 | 47 |

Cell and atoms:
a b c (Å): 6.0348 7.6672 6.3135
angles (deg): 90.00 94.30 90.00
Fractional positions:
K (0.0000, 0.0000, 0.0000)
Mn (0.0000, 0.5000, 0.0000)
V (0.5000, 0.2569, 0.5000)
V (0.5000, 0.7431, 0.5000)
Cl (0.2574, 0.2829, 0.1775)
Cl (0.2574, 0.7171, 0.1775)
Cl (0.2812, 0.5000, 0.6451)
Cl (0.2985, 0.0000, 0.6285)
Cl (0.7015, 0.0000, 0.3715)
Cl (0.7188, 0.5000, 0.3549)
Cl (0.7426, 0.2829, 0.8225)
Cl (0.7426, 0.7171, 0.8225)